1.
Theoretical powder X-ray diffraction pattern of Sr2LaMnCoO7 for Cu Kα X-rays, from a crystal structure in the Materials Project, relaxed with PBE+U.
Neutral-atom scattering factors, no anomalous dispersion.

Main lines, in order of falling intensity (5° ≤ 2θ ≤ 70°):
2theta  d [Å]  Rel. int.
32.50  2.755  100
31.79  2.815  74
31.91  2.804  73
42.33  2.135  36
46.46  1.955  36
46.80  1.941  30
57.46  1.604  28
57.69  1.598  27

Structure:
```
data_Sr2LaMnCoO7
_cell_length_a 5.511
_cell_length_b 20.276
_cell_length_c 5.509
_cell_angle_alpha 90.00
_cell_angle_beta 90.41
_cell_angle_gamma 90.00
_symmetry_space_group_name_H-M 'C 1 2 1'
_symmetry_Int_Tables_number 5
loop_
_symmetry_equiv_pos_as_xyz
'x,y,z'
'-x,y,-z'
'x+1/2,y+1/2,z'
'-x+1/2,y+1/2,-z'
loop_
_atom_site_label
_atom_site_type_symbol
_atom_site_fract_x
_atom_site_fract_y
_atom_site_fract_z
_atom_site_occupancy
Sr1 Sr 0.000 0.000 0.000 1
Sr2 Sr 0.000 0.179 0.000 1
Sr3 Sr 0.000 0.500 0.500 1
Sr4 Sr 0.000 0.679 0.500 1
La1 La 0.000 0.363 0.000 1
La2 La 0.000 0.863 0.500 1
Mn1 Mn 0.000 0.082 0.500 1
Mn2 Mn 0.000 0.584 0.000 1
Co1 Co 0.000 0.274 0.500 1
Co2 Co 0.000 0.776 0.000 1
O1 O 0.000 0.182 0.500 1
O2 O 0.000 0.379 0.500 1
O3 O 0.000 0.484 0.000 1
O4 O 0.000 0.678 0.000 1
O5 O 0.000 0.881 0.000 1
O6 O 0.000 0.984 0.500 1
O7 O 0.245 0.284 0.254 1
O8 O 0.245 0.783 0.244 1
O9 O 0.249 0.085 0.251 1
O10 O 0.250 0.085 0.749 1
```

=====

2.
Theoretical powder X-ray diffraction pattern of Sr2LaMnCoO7 for Cu Kα X-rays, from a crystal structure in the Materials Project, relaxed with PBE+U.
Neutral-atom scattering factors, no anomalous dispersion.

Main lines, in order of falling intensity (5° ≤ 2θ ≤ 70°):
2theta  d [Å]  Rel. int.
31.83  2.811  100
32.82  2.729  65
47.10  1.930  39
57.97  1.591  36
42.38  2.133  23
44.14  2.052  14
56.08  1.640  14
68.80  1.364  11

Structure:
```
data_Sr2LaMnCoO7
_cell_length_a 5.458
_cell_length_b 5.458
_cell_length_c 10.613
_cell_angle_alpha 75.16
_cell_angle_beta 89.94
_cell_angle_gamma 90.00
_symmetry_space_group_name_H-M 'P 1'
_symmetry_Int_Tables_number 1
loop_
_symmetry_equiv_pos_as_xyz
'x,y,z'
loop_
_atom_site_label
_atom_site_type_symbol
_atom_site_fract_x
_atom_site_fract_y
_atom_site_fract_z
_atom_site_occupancy
Sr1 Sr 0.000 0.000 0.000 1
Sr2 Sr 0.001 0.178 0.640 1
Sr3 Sr 0.499 0.499 0.000 1
Sr4 Sr 0.501 0.678 0.640 1
La1 La 0.004 0.814 0.370 1
La2 La 0.501 0.310 0.370 1
Mn1 Mn 0.000 0.595 0.809 1
Mn2 Mn 0.501 0.094 0.809 1
Co1 Co 0.001 0.400 0.196 1
Co2 Co 0.502 0.900 0.196 1
O1 O 0.001 0.693 0.609 1
O2 O 0.004 0.293 0.404 1
O3 O 0.245 0.636 0.207 1
O4 O 0.250 0.345 0.808 1
O5 O 0.250 0.845 0.808 1
O6 O 0.259 0.137 0.206 1
O7 O 0.497 0.800 0.404 1
O8 O 0.500 0.002 0.994 1
O9 O 0.501 0.194 0.609 1
O10 O 0.744 0.651 0.209 1
O11 O 0.750 0.345 0.808 1
O12 O 0.750 0.845 0.808 1
O13 O 0.760 0.151 0.207 1
O14 O 0.998 0.504 0.994 1
```